Computed powder diffraction line list of HfTaCu2Si4 for Cu Kα (λ = 1.5418 Å), from DFT lattice parameters and positions (PBE).
Kinematic intensities with the Lorentz-polarization factor, no thermal factor.

The 6 most intense peaks (2θ = 5–70°), in order of rising 2θ:
| 2theta | d [Å] | I/Imax | hkl |
| --- | --- | --- | --- |
| 26.56 | 3.356 | 69.8 | 1 0 1 |
| 39.26 | 2.295 | 28.0 | 1 0 3 |
| 40.62 | 2.221 | 100.0 | 1 1 2 |
| 50.36 | 1.812 | 25.1 | 2 0 0 |
| 57.80 | 1.595 | 26.2 | 1 0 5 |
| 66.57 | 1.405 | 14.1 | 2 0 4 |

Structural model:
Cell lengths 3.6240, 3.6240, 8.8940 Å; angles 90.00, 90.00, 90.00 degrees
Space group P4mm (No. 99)
One atom of each set of equivalent atoms:
Hf (0.0000, 0.0000, 0.0000)
Ta (0.5000, 0.5000, 0.5410)
Cu (0.0000, 0.5000, 0.2715)
Si (0.0000, 0.0000, 0.4510)
Si (0.0000, 0.5000, 0.7650)
Si (0.5000, 0.5000, 0.0918)


Computed powder diffraction line list of KPrLu for Cu Kα (λ = 1.5418 Å), from DFT lattice parameters and positions (PBE).
Kinematic intensities with the Lorentz-polarization factor, no thermal factor.

The 6 most intense peaks (2θ = 5–70°), in order of rising 2θ:
| 2theta | d [Å] | I/Imax | hkl |
| --- | --- | --- | --- |
| 22.08 | 4.025 | 70.7 | 2 0 0 |
| 31.43 | 2.846 | 100.0 | 2 2 0 |
| 38.75 | 2.324 | 22.6 | 2 2 2 |
| 45.04 | 2.013 | 18.4 | 4 0 0 |
| 50.71 | 1.800 | 31.9 | 4 2 0 |
| 55.95 | 1.643 | 38.4 | 4 2 2 |

Structural model:
Cell lengths 8.0508, 8.0508, 8.0508 Å; angles 90.00, 90.00, 90.00 degrees
Space group F-43m (No. 216)
One atom of each set of equivalent atoms:
K (0.0000, 0.0000, 0.0000)
Pr (0.2500, 0.2500, 0.2500)
Lu (0.2500, 0.2500, 0.7500)